Record 1
Starting from DFT lattice parameters and positions (PBE), the X-ray diffraction stick pattern of BeTcB3 was simulated for Cu Kα (weighted mean of Kα1 and Kα2).
No peak broadening, texture or thermal motion is included.

Atomic structure:
```
BeTcB3
1.0
4.0571 0.0000 0.0000
0.0000 5.1067 0.0000
-1.9610 0.0000 3.9744
Be Tc B
2 2 6
Direct
0.2042 0.0000 0.1233 Be
0.7958 0.5000 0.8767 Be
0.1637 0.7483 0.5784 Tc
0.8363 0.2483 0.4216 Tc
0.2708 0.4019 0.2817 B
0.3176 0.3790 0.9115 B
0.4333 0.1793 0.6439 B
0.5667 0.6793 0.3561 B
0.6824 0.8790 0.0885 B
0.7292 0.9019 0.7183 B
```

Largest 12 diffraction maxima, low angle first, 2θ from 10° to 90°:
2θ (°)	intensity
22.37	100.0
24.81	65.5
28.46	29.1
30.16	71.3
30.44	28.8
35.15	41.4
41.00	29.4
42.06	49.1
43.50	41.3
44.22	52.8
48.28	40.1
53.47	25.0



Record 2
Starting from DFT lattice parameters and positions (PBE), the X-ray diffraction stick pattern of Tm2Be12TcB3 was simulated for Cu Kα (weighted mean of Kα1 and Kα2).
No peak broadening, texture or thermal motion is included.

Atomic structure:
```
Tm2Be12TcB3
1.0
3.3011 1.9059 5.6644
-3.3011 1.9059 5.6644
0.0000 -3.8118 5.6644
Tm Be Tc B
2 12 1 3
Direct
0.0934 0.0934 0.0934 Tm
0.9066 0.9066 0.9066 Tm
0.0382 0.6402 0.6402 Be
0.2494 0.2494 0.5795 Be
0.2494 0.5795 0.2494 Be
0.3598 0.3598 0.9618 Be
0.3598 0.9618 0.3598 Be
0.4205 0.7506 0.7506 Be
0.5795 0.2494 0.2494 Be
0.6402 0.0382 0.6402 Be
0.6402 0.6402 0.0382 Be
0.7506 0.4205 0.7506 Be
0.7506 0.7506 0.4205 Be
0.9618 0.3598 0.3598 Be
0.5000 0.5000 0.5000 Tc
0.0000 0.5000 0.5000 B
0.5000 0.0000 0.5000 B
0.5000 0.5000 0.0000 B
```

Largest 12 diffraction maxima, low angle first, 2θ from 10° to 90°:
2θ (°)	intensity
16.36	39.7
18.71	57.6
27.01	100.0
30.60	70.1
31.36	22.1
33.06	20.0
40.36	21.1
41.27	37.9
43.19	20.8
47.72	19.0
50.01	37.0
64.88	20.2



> Number 2 is which compound?

Tm2Be12TcB3